No. 1
Structure and theoretical XRD peak list of ZnIn2 (DFT lattice parameters and positions (PBE); Cu Ka).
Intensities are scaled so that the largest is 100.

Structure:
```
data_ZnIn2
_chemical_formula_sum 'Zn4 In8'
_cell_length_a 6.651
_cell_length_b 6.651
_cell_length_c 6.651
_cell_angle_alpha 90.00
_cell_angle_beta 90.00
_cell_angle_gamma 90.00
_space_group_name_H-M_alt 'F m -3 m'
_space_group_IT_number 225
_space_group_name_Hall '-F 4 2 3'
loop_
_atom_site_label
_atom_site_type_symbol
_atom_site_fract_x
_atom_site_fract_y
_atom_site_fract_z
Zn1 Zn 0.000 0.000 0.000
In1 In 0.250 0.250 0.250
```

Main lines, by angle (10° ≤ 2θ ≤ 90°):
| hkl | 2theta | d (Å) | intensity |
| --- | --- | --- | --- |
| 1 1 1 | 23.16 | 3.840 | 14 |
| 2 0 0 | 26.81 | 3.325 | 36 |
| 2 2 0 | 38.28 | 2.351 | 100 |
| 3 1 1 | 45.22 | 2.005 | 7 |
| 2 2 2 | 47.35 | 1.920 | 10 |
| 4 0 0 | 55.25 | 1.663 | 17 |
| 4 2 0 | 62.45 | 1.487 | 13 |
| 4 2 2 | 69.20 | 1.358 | 33 |
| 4 4 0 | 81.95 | 1.176 | 10 |
| 6 0 0 | 88.13 | 1.108 | 7 |

=====

No. 2
Structure and theoretical XRD peak list of ZnIn3 (DFT lattice parameters and positions (PBE); Cu Ka).
Intensities are scaled so that the largest is 100.

Structure:
```
data_ZnIn3
_chemical_formula_sum 'Zn4 In12'
_cell_length_a 4.461
_cell_length_b 4.461
_cell_length_c 19.605
_cell_angle_alpha 90.00
_cell_angle_beta 90.00
_cell_angle_gamma 90.00
_space_group_name_H-M_alt 'I 4/m m m'
_space_group_IT_number 139
_space_group_name_Hall '-I 4 2'
loop_
_atom_site_label
_atom_site_type_symbol
_atom_site_fract_x
_atom_site_fract_y
_atom_site_fract_z
Zn1 Zn 0.000 0.000 0.125
In1 In 0.000 0.000 0.375
In2 In 0.000 0.500 0.000
In3 In 0.000 0.500 0.250
```

Main lines, by angle (10° ≤ 2θ ≤ 90°):
| hkl | 2theta | d (Å) | intensity |
| --- | --- | --- | --- |
| 1 1 4 | 33.79 | 2.652 | 100 |
| 0 0 8 | 36.67 | 2.451 | 20 |
| 2 0 0 | 40.44 | 2.230 | 30 |
| 2 0 8 | 55.73 | 1.650 | 23 |
| 2 2 0 | 58.53 | 1.577 | 10 |
| 1 1 12 | 64.20 | 1.451 | 15 |
| 3 1 4 | 69.32 | 1.356 | 23 |
| 2 2 8 | 71.08 | 1.326 | 11 |
| 0 0 16 | 77.97 | 1.225 | 2 |
| 4 0 0 | 87.46 | 1.115 | 3 |

=====

No. 3
Structure and theoretical XRD peak list of ZnIn (DFT lattice parameters and positions (PBE); Cu Ka).
Intensities are scaled so that the largest is 100.

Structure:
```
data_ZnIn
_chemical_formula_sum 'Zn4 In4'
_cell_length_a 3.122
_cell_length_b 5.001
_cell_length_c 11.132
_cell_angle_alpha 90.00
_cell_angle_beta 90.00
_cell_angle_gamma 90.00
_space_group_name_H-M_alt 'I m m a'
_space_group_IT_number 74
_space_group_name_Hall '-I 2b 2'
loop_
_atom_site_label
_atom_site_type_symbol
_atom_site_fract_x
_atom_site_fract_y
_atom_site_fract_z
Zn1 Zn 0.000 0.250 0.152
In1 In 0.000 0.250 0.603
```

Main lines, by angle (10° ≤ 2θ ≤ 90°):
| hkl | 2theta | d (Å) | intensity |
| --- | --- | --- | --- |
| 1 0 1 | 29.72 | 3.006 | 8 |
| 0 1 3 | 29.99 | 2.980 | 23 |
| 0 0 4 | 32.16 | 2.783 | 28 |
| 0 2 0 | 35.91 | 2.500 | 31 |
| 1 1 2 | 37.62 | 2.391 | 100 |
| 0 2 4 | 48.97 | 1.860 | 17 |
| 1 0 5 | 50.34 | 1.813 | 10 |
| 1 1 6 | 60.96 | 1.520 | 12 |
| 1 2 5 | 63.38 | 1.468 | 9 |
| 1 3 2 | 65.67 | 1.422 | 18 |

=====

No. 4
Structure and theoretical XRD peak list of Zn3In (DFT lattice parameters and positions (PBE); Cu Ka).
Intensities are scaled so that the largest is 100.

Structure:
```
data_Zn3In
_chemical_formula_sum 'Zn6 In2'
_cell_length_a 4.162
_cell_length_b 4.162
_cell_length_c 8.322
_cell_angle_alpha 90.00
_cell_angle_beta 90.00
_cell_angle_gamma 90.00
_space_group_name_H-M_alt 'I 4/m m m'
_space_group_IT_number 139
_space_group_name_Hall '-I 4 2'
loop_
_atom_site_label
_atom_site_type_symbol
_atom_site_fract_x
_atom_site_fract_y
_atom_site_fract_z
Zn1 Zn 0.000 0.000 0.000
Zn2 Zn 0.000 0.500 0.250
In1 In 0.000 0.000 0.500
```

Main lines, by angle (10° ≤ 2θ ≤ 90°):
| hkl | 2theta | d (Å) | intensity |
| --- | --- | --- | --- |
| 0 0 2 | 21.35 | 4.161 | 2 |
| 1 0 1 | 23.90 | 3.723 | 6 |
| 1 1 0 | 30.37 | 2.943 | 2 |
| 1 1 2 | 37.43 | 2.403 | 100 |
| 1 0 3 | 39.02 | 2.308 | 2 |
| 2 0 0 | 43.49 | 2.081 | 49 |
| 2 1 1 | 50.23 | 1.816 | 2 |
| 2 2 0 | 63.19 | 1.471 | 30 |
| 3 1 2 | 75.81 | 1.255 | 35 |
| 2 2 4 | 79.83 | 1.201 | 10 |

=====

No. 5
Structure and theoretical XRD peak list of Zn3In (DFT lattice parameters and positions (PBE); Cu Ka).
Intensities are scaled so that the largest is 100.

Structure:
```
data_Zn3In
_chemical_formula_sum 'Zn6 In2'
_cell_length_a 5.270
_cell_length_b 5.270
_cell_length_c 5.270
_cell_angle_alpha 90.00
_cell_angle_beta 90.00
_cell_angle_gamma 90.00
_space_group_name_H-M_alt 'P m -3 n'
_space_group_IT_number 223
_space_group_name_Hall '-P 4n 2 3'
loop_
_atom_site_label
_atom_site_type_symbol
_atom_site_fract_x
_atom_site_fract_y
_atom_site_fract_z
Zn1 Zn 0.000 0.250 0.500
In1 In 0.000 0.000 0.000
```

Main lines, by angle (10° ≤ 2θ ≤ 90°):
| hkl | 2theta | d (Å) | intensity |
| --- | --- | --- | --- |
| 1 1 0 | 23.88 | 3.726 | 13 |
| 2 0 0 | 34.03 | 2.635 | 45 |
| 2 1 0 | 38.19 | 2.357 | 76 |
| 2 1 1 | 42.00 | 2.151 | 100 |
| 3 2 0 | 63.67 | 1.462 | 16 |
| 3 2 1 | 66.37 | 1.408 | 49 |
| 4 0 0 | 71.63 | 1.317 | 15 |
| 4 2 0 | 81.72 | 1.178 | 13 |
| 4 2 1 | 84.20 | 1.150 | 14 |
| 3 3 2 | 86.66 | 1.124 | 12 |

=====

No. 6
Structure and theoretical XRD peak list of ZnIn (DFT lattice parameters and positions (PBE); Cu Ka).
Intensities are scaled so that the largest is 100.

Structure:
```
data_ZnIn
_chemical_formula_sum 'Zn8 In8'
_cell_length_a 7.933
_cell_length_b 7.933
_cell_length_c 5.699
_cell_angle_alpha 90.00
_cell_angle_beta 90.00
_cell_angle_gamma 90.00
_space_group_name_H-M_alt 'P 4/m c c'
_space_group_IT_number 124
_space_group_name_Hall '-P 4 2c'
loop_
_atom_site_label
_atom_site_type_symbol
_atom_site_fract_x
_atom_site_fract_y
_atom_site_fract_z
Zn1 Zn 0.073 0.217 0.000
In1 In 0.214 0.435 0.500
```

Main lines, by angle (10° ≤ 2θ ≤ 90°):
| hkl | 2theta | d (Å) | intensity |
| --- | --- | --- | --- |
| 2 1 0 | 25.10 | 3.548 | 12 |
| 2 1 1 | 29.66 | 3.012 | 14 |
| 0 0 2 | 31.39 | 2.850 | 58 |
| 2 2 0 | 31.91 | 2.805 | 39 |
| 3 0 0 | 33.90 | 2.644 | 13 |
| 3 1 1 | 39.24 | 2.296 | 100 |
| 2 2 2 | 45.37 | 1.999 | 29 |
| 4 3 1 | 60.58 | 1.528 | 14 |
| 3 1 3 | 61.20 | 1.514 | 26 |
| 5 3 1 | 71.28 | 1.323 | 17 |

=====

No. 7
Structure and theoretical XRD peak list of Zn11In (DFT lattice parameters and positions (PBE); Cu Ka).
Intensities are scaled so that the largest is 100.

Structure:
```
data_Zn11In
_chemical_formula_sum 'Zn44 In4'
_cell_length_a 10.816
_cell_length_b 10.816
_cell_length_c 6.853
_cell_angle_alpha 90.00
_cell_angle_beta 90.00
_cell_angle_gamma 90.00
_space_group_name_H-M_alt 'I 41/a m d'
_space_group_IT_number 141
loop_
_space_group_symop_operation_xyz
'x,y,z'
'-x,-y,-z'
'-y+1/4,x+3/4,z+1/4'
'y+1/4,-x+3/4,-z+1/4'
'-x+1/2,-y,z+1/2'
'x+1/2,y,-z+1/2'
'y+1/4,-x+1/4,z+3/4'
'-y+1/4,x+1/4,-z+3/4'
'x,-y,-z'
'-x,y,z'
'-y+1/4,-x+1/4,-z+3/4'
'y+1/4,x+1/4,z+3/4'
'-x+1/2,y,-z+1/2'
'x+1/2,-y,z+1/2'
'y+1/4,x+3/4,-z+1/4'
'-y+1/4,-x+3/4,z+1/4'
'x+1/2,y+1/2,z+1/2'
'-x+1/2,-y+1/2,-z+1/2'
'-y+3/4,x+1/4,z+3/4'
'y+3/4,-x+1/4,-z+3/4'
'-x,-y+1/2,z'
'x,y+1/2,-z'
'y+3/4,-x+3/4,z+1/4'
'-y+3/4,x+3/4,-z+1/4'
'x+1/2,-y+1/2,-z+1/2'
'-x+1/2,y+1/2,z+1/2'
'-y+3/4,-x+3/4,-z+1/4'
'y+3/4,x+3/4,z+1/4'
'-x,y+1/2,-z'
'x,-y+1/2,z'
'y+3/4,x+1/4,-z+3/4'
'-y+3/4,-x+1/4,z+3/4'
loop_
_atom_site_label
_atom_site_type_symbol
_atom_site_fract_x
_atom_site_fract_y
_atom_site_fract_z
Zn1 Zn 0.000 0.000 0.000
Zn2 Zn 0.000 0.250 0.875
Zn3 Zn 0.122 0.046 0.679
In1 In 0.000 0.250 0.375
```

Main lines, by angle (10° ≤ 2θ ≤ 90°):
| hkl | 2theta | d (Å) | intensity |
| --- | --- | --- | --- |
| 3 2 1 | 32.58 | 2.748 | 21 |
| 4 2 0 | 37.16 | 2.420 | 100 |
| 1 0 3 | 40.35 | 2.235 | 19 |
| 4 0 2 | 42.59 | 2.123 | 10 |
| 5 0 1 | 43.88 | 2.063 | 54 |
| 4 2 2 | 45.93 | 1.976 | 21 |
| 5 2 1 | 47.14 | 1.928 | 9 |
| 5 5 2 | 66.99 | 1.397 | 22 |
| 5 3 4 | 75.56 | 1.258 | 8 |
| 8 4 0 | 79.18 | 1.210 | 14 |

=====

No. 8
Structure and theoretical XRD peak list of Zn2In3 (DFT lattice parameters and positions (PBE); Cu Ka).
Intensities are scaled so that the largest is 100.

Structure:
```
data_Zn2In3
_chemical_formula_sum 'Zn12 In18'
_cell_length_a 7.2353
_cell_length_b 7.2353
_cell_length_c 16.2549
_cell_angle_alpha 90.00
_cell_angle_beta 90.00
_cell_angle_gamma 120.00
_space_group_name_H-M_alt 'R -3 c'
_space_group_IT_number 167
_space_group_name_Hall '-R 3 2"c'
loop_
_atom_site_label
_atom_site_type_symbol
_atom_site_fract_x
_atom_site_fract_y
_atom_site_fract_z
Zn1 Zn 0.0000 0.0000 0.1727
In1 In 0.0000 0.3620 0.2500
```

Main lines, by angle (10° ≤ 2θ ≤ 90°):
| hkl | 2theta | d (Å) | intensity |
| --- | --- | --- | --- |
| 1 1 3 | 29.69 | 3.009 | 100 |
| 2 0 2 | 30.58 | 2.923 | 14 |
| 1 1 6 | 41.65 | 2.169 | 44 |
| 3 0 0 | 43.32 | 2.089 | 43 |
| 2 2 3 | 53.40 | 1.716 | 15 |
| 1 1 9 | 56.99 | 1.616 | 15 |
| 2 2 6 | 61.66 | 1.504 | 11 |
| 4 1 3 | 71.11 | 1.326 | 10 |
| 4 1 6 | 78.33 | 1.221 | 11 |
| 3 0 12 | 85.42 | 1.137 | 12 |

=====

No. 9
Structure and theoretical XRD peak list of Zr4ZnIn3 (DFT lattice parameters and positions (PBE); Cu Ka).
Intensities are scaled so that the largest is 100.

Structure:
```
data_Zr4ZnIn3
_chemical_formula_sum 'Zr8 Zn2 In6'
_cell_length_a 4.422
_cell_length_b 4.422
_cell_length_c 17.465
_cell_angle_alpha 90.00
_cell_angle_beta 90.00
_cell_angle_gamma 90.00
_space_group_name_H-M_alt 'I 4/m m m'
_space_group_IT_number 139
_space_group_name_Hall '-I 4 2'
loop_
_atom_site_label
_atom_site_type_symbol
_atom_site_fract_x
_atom_site_fract_y
_atom_site_fract_z
Zr1 Zr 0.000 0.500 0.121
Zn1 Zn 0.000 0.000 0.000
In1 In 0.000 0.000 0.250
In2 In 0.000 0.000 0.500
```

Main lines, by angle (10° ≤ 2θ ≤ 90°):
| hkl | 2theta | d (Å) | intensity |
| --- | --- | --- | --- |
| 1 1 4 | 35.31 | 2.542 | 100 |
| 2 0 0 | 40.82 | 2.211 | 33 |
| 0 0 8 | 41.36 | 2.183 | 16 |
| 2 2 0 | 59.09 | 1.563 | 11 |
| 2 0 8 | 59.51 | 1.553 | 21 |
| 3 1 4 | 70.75 | 1.332 | 25 |
| 1 1 12 | 71.50 | 1.319 | 11 |
| 2 2 8 | 74.68 | 1.271 | 10 |
| 4 0 0 | 88.44 | 1.105 | 3 |
| 0 0 16 | 89.86 | 1.092 | 2 |

=====

No. 10
Structure and theoretical XRD peak list of Zr3In (DFT lattice parameters and positions (PBE); Cu Ka).
Intensities are scaled so that the largest is 100.

Structure:
```
data_Zr3In
_chemical_formula_sum 'Zr3 In1'
_cell_length_a 3.105
_cell_length_b 5.262
_cell_length_c 5.611
_cell_angle_alpha 90.00
_cell_angle_beta 95.31
_cell_angle_gamma 90.00
_space_group_name_H-M_alt 'P 1 2/m 1'
_space_group_IT_number 10
_space_group_name_Hall '-P 2y'
loop_
_atom_site_label
_atom_site_type_symbol
_atom_site_fract_x
_atom_site_fract_y
_atom_site_fract_z
Zr1 Zr 0.000 0.000 0.000
Zr2 Zr 0.260 0.500 0.761
In1 In 0.500 0.000 0.500
```

Main lines, by angle (10° ≤ 2θ ≤ 90°):
| hkl | 2theta | d (Å) | intensity |
| --- | --- | --- | --- |
| 0 2 0 | 34.08 | 2.631 | 59 |
| 1 0 1 | 34.43 | 2.605 | 57 |
| 1 1 -1 | 36.16 | 2.484 | 100 |
| 0 1 2 | 36.41 | 2.467 | 97 |
| 1 2 1 | 49.22 | 1.851 | 40 |
| 1 3 -1 | 62.36 | 1.489 | 19 |
| 0 3 2 | 62.52 | 1.486 | 19 |
| 2 1 0 | 62.64 | 1.483 | 19 |
| 1 1 3 | 63.14 | 1.472 | 18 |
| 1 2 -3 | 66.46 | 1.407 | 16 |

=====

No. 11
Structure and theoretical XRD peak list of Zr3In (DFT lattice parameters and positions (PBE); Cu Ka).
Intensities are scaled so that the largest is 100.

Structure:
```
data_Zr3In
_chemical_formula_sum 'Zr6 In2'
_cell_length_a 3.193
_cell_length_b 10.406
_cell_length_c 5.499
_cell_angle_alpha 90.00
_cell_angle_beta 90.00
_cell_angle_gamma 90.00
_space_group_name_H-M_alt 'I m m 2'
_space_group_IT_number 44
_space_group_name_Hall 'I 2 -2'
loop_
_atom_site_label
_atom_site_type_symbol
_atom_site_fract_x
_atom_site_fract_y
_atom_site_fract_z
Zr1 Zr 0.000 0.000 0.000
Zr2 Zr 0.000 0.243 0.661
In1 In 0.000 0.500 0.985
```

Main lines, by angle (10° ≤ 2θ ≤ 90°):
| hkl | 2theta | d (Å) | intensity |
| --- | --- | --- | --- |
| 1 0 1 | 32.43 | 2.761 | 25 |
| 0 0 2 | 32.57 | 2.749 | 11 |
| 0 4 0 | 34.47 | 2.602 | 40 |
| 1 2 1 | 36.85 | 2.439 | 100 |
| 0 2 2 | 36.98 | 2.431 | 51 |
| 1 4 1 | 48.05 | 1.893 | 16 |
| 1 0 3 | 58.02 | 1.590 | 17 |
| 0 6 2 | 63.35 | 1.468 | 29 |
| 1 4 3 | 69.27 | 1.356 | 20 |
| 2 2 2 | 70.58 | 1.334 | 14 |

=====

No. 12
Structure and theoretical XRD peak list of Zr3In5 (DFT lattice parameters and positions (PBE); Cu Ka).
Intensities are scaled so that the largest is 100.

Structure:
```
data_Zr3In5
_chemical_formula_sum 'Zr12 In20'
_cell_length_a 9.515
_cell_length_b 7.723
_cell_length_c 9.811
_cell_angle_alpha 90.00
_cell_angle_beta 90.00
_cell_angle_gamma 90.00
_space_group_name_H-M_alt 'C m c m'
_space_group_IT_number 63
_space_group_name_Hall '-C 2c 2'
loop_
_atom_site_label
_atom_site_type_symbol
_atom_site_fract_x
_atom_site_fract_y
_atom_site_fract_z
Zr1 Zr 0.000 0.105 0.250
Zr2 Zr 0.215 0.500 0.000
In1 In 0.000 0.199 0.539
In2 In 0.000 0.489 0.250
In3 In 0.220 0.221 0.750
```

Main lines, by angle (10° ≤ 2θ ≤ 90°):
| hkl | 2theta | d (Å) | intensity |
| --- | --- | --- | --- |
| 1 1 3 | 31.17 | 2.870 | 13 |
| 2 2 2 | 35.08 | 2.558 | 100 |
| 3 1 2 | 35.66 | 2.518 | 13 |
| 1 3 0 | 36.15 | 2.485 | 17 |
| 0 0 4 | 36.64 | 2.453 | 28 |
| 4 0 0 | 37.82 | 2.379 | 24 |
| 3 1 3 | 41.34 | 2.184 | 16 |
| 4 0 4 | 53.68 | 1.707 | 13 |
| 2 2 6 | 64.97 | 1.435 | 10 |
| 3 5 2 | 70.48 | 1.336 | 10 |

=====

No. 13
Structure and theoretical XRD peak list of ZrIn2 (DFT lattice parameters and positions (PBE); Cu Ka).
Intensities are scaled so that the largest is 100.

Structure:
```
data_ZrIn2
_chemical_formula_sum 'Zr1 In2'
_cell_length_a 3.2626
_cell_length_b 3.2626
_cell_length_c 7.7462
_cell_angle_alpha 90.00
_cell_angle_beta 90.00
_cell_angle_gamma 120.00
_space_group_name_H-M_alt 'P -3 m 1'
_space_group_IT_number 164
_space_group_name_Hall '-P 3 2"'
loop_
_atom_site_label
_atom_site_type_symbol
_atom_site_fract_x
_atom_site_fract_y
_atom_site_fract_z
Zr1 Zr 0.0000 0.0000 0.0000
In1 In 0.3333 0.6667 0.3289
```

Main lines, by angle (10° ≤ 2θ ≤ 90°):
| hkl | 2theta | d (Å) | intensity |
| --- | --- | --- | --- |
| 0 1 1 | 33.77 | 2.654 | 100 |
| 0 0 3 | 34.74 | 2.582 | 30 |
| 1 0 2 | 39.48 | 2.283 | 64 |
| 1 1 0 | 56.40 | 1.631 | 22 |
| 0 1 4 | 57.71 | 1.597 | 21 |
| 2 0 1 | 67.38 | 1.390 | 13 |
| 1 1 3 | 67.97 | 1.379 | 24 |
| 1 0 5 | 69.15 | 1.358 | 11 |
| 0 2 2 | 71.02 | 1.327 | 11 |
| 2 0 4 | 84.98 | 1.141 | 7 |

=====

No. 14
Structure and theoretical XRD peak list of ZrIn2 (DFT lattice parameters and positions (PBE); Cu Ka).
Intensities are scaled so that the largest is 100.

Structure:
```
data_ZrIn2
_chemical_formula_sum 'Zr2 In4'
_cell_length_a 3.172
_cell_length_b 4.166
_cell_length_c 10.556
_cell_angle_alpha 90.00
_cell_angle_beta 90.00
_cell_angle_gamma 90.00
_space_group_name_H-M_alt 'I m m m'
_space_group_IT_number 71
_space_group_name_Hall '-I 2 2'
loop_
_atom_site_label
_atom_site_type_symbol
_atom_site_fract_x
_atom_site_fract_y
_atom_site_fract_z
Zr1 Zr 0.000 0.000 0.000
In1 In 0.000 0.000 0.333
```

Main lines, by angle (10° ≤ 2θ ≤ 90°):
| hkl | 2theta | d (Å) | intensity |
| --- | --- | --- | --- |
| 0 1 3 | 33.33 | 2.688 | 100 |
| 1 1 0 | 35.57 | 2.524 | 84 |
| 1 0 3 | 38.20 | 2.356 | 69 |
| 0 2 0 | 43.44 | 2.083 | 24 |
| 0 0 6 | 51.98 | 1.759 | 14 |
| 2 0 0 | 58.16 | 1.586 | 10 |
| 1 2 3 | 59.21 | 1.561 | 37 |
| 1 1 6 | 64.57 | 1.443 | 28 |
| 2 1 3 | 68.72 | 1.366 | 23 |
| 0 2 6 | 70.00 | 1.344 | 11 |

=====

No. 15
Structure and theoretical XRD peak list of Zr3In (DFT lattice parameters and positions (PBE); Cu Ka).
Intensities are scaled so that the largest is 100.

Structure:
```
data_Zr3In
_chemical_formula_sum 'Zr6 In2'
_cell_length_a 4.384
_cell_length_b 4.384
_cell_length_c 9.413
_cell_angle_alpha 90.00
_cell_angle_beta 90.00
_cell_angle_gamma 90.00
_space_group_name_H-M_alt 'I 4/m m m'
_space_group_IT_number 139
_space_group_name_Hall '-I 4 2'
loop_
_atom_site_label
_atom_site_type_symbol
_atom_site_fract_x
_atom_site_fract_y
_atom_site_fract_z
Zr1 Zr 0.000 0.000 0.000
Zr2 Zr 0.000 0.500 0.250
In1 In 0.000 0.000 0.500
```

Main lines, by angle (10° ≤ 2θ ≤ 90°):
| hkl | 2theta | d (Å) | intensity |
| --- | --- | --- | --- |
| 1 1 2 | 34.65 | 2.589 | 100 |
| 0 0 4 | 38.25 | 2.353 | 19 |
| 2 0 0 | 41.19 | 2.192 | 31 |
| 2 0 4 | 57.46 | 1.604 | 22 |
| 2 2 0 | 59.66 | 1.550 | 10 |
| 1 1 6 | 66.84 | 1.400 | 14 |
| 3 1 2 | 70.87 | 1.330 | 23 |
| 2 2 4 | 73.11 | 1.294 | 11 |
| 0 0 8 | 81.87 | 1.177 | 2 |
| 4 0 0 | 89.41 | 1.096 | 3 |